(1)
This entry pairs a crystal structure of ScTaCN with its simulated X-ray powder pattern. Radiation: Cu Kα (weighted mean of Kα1 and Kα2). Structure: a cell relaxed with PBE.

Principal peaks in the range 2θ = 10–90°, most intense first:
| 2θ (°) | intensity | h k l |
| --- | --- | --- |
| 16.10 | 100 | 0 0 3 |
| 33.46 | 93 | 1 0 1 |
| 43.14 | 76 | 0 1 5 |
| 34.80 | 69 | 0 1 2 |
| 39.75 | 45 | 1 0 4 |
| 32.53 | 39 | 0 0 6 |
| 51.32 | 34 | 1 0 7 |
| 58.95 | 32 | 1 1 0 |

abc: 3.1337 3.1337 16.5135
angles: 90.00 90.00 120.00
Space group R3m (No. 160, hexagonal axes)
Asymmetric unit:
Sc (0.0000, 0.0000, 0.0000)
Ta (0.0000, 0.0000, 0.1767)
C (0.0000, 0.0000, 0.5830)
N (0.0000, 0.0000, 0.7629)


(2)
This entry pairs a crystal structure of MgIn5Hg with its simulated X-ray powder pattern. Radiation: Cu Kα (weighted mean of Kα1 and Kα2). Structure: a cell relaxed with PBE.

Principal peaks in the range 2θ = 10–90°, most intense first:
| 2θ (°) | intensity | h k l |
| --- | --- | --- |
| 32.42 | 100 | 2 2 -1 |
| 33.49 | 96 | 0 2 3 |
| 37.99 | 84 | 2 0 -4 |
| 25.96 | 54 | 2 0 2 |
| 33.32 | 40 | 3 1 0 |
| 58.54 | 33 | 3 3 4 |
| 15.64 | 26 | 0 0 2 |
| 35.39 | 24 | 1 1 4 |

abc: 8.629 7.582 11.331
angles: 90.00 90.01 90.00
Space group C2/c (No. 15)
Asymmetric unit:
Mg (0.000, 0.000, 0.000)
In (0.000, 0.333, 0.250)
In (0.187, 0.361, 0.608)
In (0.188, 0.360, 0.891)
Hg (0.000, 0.068, 0.750)


(3)
This entry pairs a crystal structure of Nb4GaGe2 with its simulated X-ray powder pattern. Radiation: Cu Kα (weighted mean of Kα1 and Kα2). Structure: a cell relaxed with PBE.

Principal peaks in the range 2θ = 10–90°, most intense first:
| 2θ (°) | intensity | h k l |
| --- | --- | --- |
| 36.09 | 100 | 3 0 1 |
| 43.00 | 74 | 3 2 1 |
| 74.30 | 23 | 1 1 6 |
| 57.36 | 19 | 2 2 4 |
| 59.94 | 18 | 3 1 4 |
| 78.82 | 14 | 4 1 5 |
| 76.57 | 11 | 6 0 2 |
| 51.97 | 10 | 4 0 2 |

abc: 7.872 7.872 7.866
angles: 90.00 90.00 90.00
Space group I-42d (No. 122)
Asymmetric unit:
Nb (0.077, 0.672, 0.450)
Ga (0.000, 0.000, 0.500)
Ge (0.127, 0.750, 0.125)